Starting from a crystal structure in Alexandria, relaxed with PBE+U, the X-ray powder pattern of CaNiPbO4 was computed for Cu Kα (λ = 1.5418 Å).

Top 10 peaks for 2θ = 5–70°, sorted by position:
16.7°, 5.298 Å, I = 100
19.7°, 4.510 Å, I = 18
31.5°, 2.837 Å, I = 72
32.8°, 2.732 Å, I = 34
33.3°, 2.694 Å, I = 26
33.8°, 2.649 Å, I = 23
38.4°, 2.344 Å, I = 33
42.6°, 2.120 Å, I = 24
50.9°, 1.793 Å, I = 22
56.6°, 1.625 Å, I = 33

Atomic structure:
```
CaNiPbO4
1.0
-3.273 3.360 4.510
3.273 -3.360 4.510
3.273 3.360 -4.510
Ca Ni Pb O
2 2 2 8
Direct
0.382 0.132 0.250
0.618 0.868 0.750
0.000 0.000 0.500
0.000 0.500 0.000
0.000 0.500 0.500
0.500 0.500 0.000
0.201 0.738 0.463
0.225 0.262 0.963
0.236 0.259 0.523
0.236 0.714 0.977
0.764 0.286 0.023
0.764 0.741 0.477
0.775 0.738 0.037
0.799 0.262 0.537
```